Simulated powder XRD pattern
Compound: Ba3Li2VO6
Radiation: Cu Kα, 1.54184 Å
Structure: a crystal structure in Alexandria, relaxed with GGA+U
Kinematic intensities with the Lorentz-polarization factor, no thermal factor.

Crystal structure
Lattice parameters (Å, degrees): 5.886 5.886 6.612 90.00 90.00 120.00
Fractional coordinates of all 12 atoms:
Ba 0.000 0.000 0.000
Ba 0.333 0.667 0.645
Ba 0.667 0.333 0.355
Li 0.333 0.667 0.236
Li 0.667 0.333 0.764
V 0.000 0.000 0.500
O 0.160 0.321 0.323
O 0.160 0.840 0.323
O 0.321 0.160 0.677
O 0.679 0.840 0.323
O 0.840 0.160 0.677
O 0.840 0.679 0.677

Most intense lines, 2θ from 10° to 90°, in order of rising 2θ:
d/Å  two_theta  intensity
6.612  13.39  21
4.037  22.02  100
2.943  30.37  92
2.774  32.28  73
2.378  37.83  54
2.019  44.91  49
1.850  49.26  25
1.764  51.83  20
1.699  53.96  18
1.665  55.17  35

Simulated powder XRD pattern
Compound: Ba2LiW3O12
Radiation: Cu Kα, 1.54184 Å
Structure: a crystal structure in Alexandria, relaxed with GGA+U
Kinematic intensities with the Lorentz-polarization factor, no thermal factor.

Crystal structure
Lattice parameters (Å, degrees): 7.199 7.199 7.199 62.64 62.64 62.64
Fractional coordinates of all 18 atoms:
Ba 0.127 0.127 0.127
Ba 0.873 0.873 0.873
Li 0.500 0.500 0.500
W 0.000 0.500 0.500
W 0.500 0.000 0.500
W 0.500 0.500 0.000
O 0.085 0.622 0.622
O 0.215 0.215 0.594
O 0.215 0.594 0.215
O 0.378 0.378 0.915
O 0.378 0.915 0.378
O 0.406 0.785 0.785
O 0.594 0.215 0.215
O 0.622 0.085 0.622
O 0.622 0.622 0.085
O 0.785 0.406 0.785
O 0.785 0.785 0.406
O 0.915 0.378 0.378

Most intense lines, 2θ from 10° to 90°, in order of rising 2θ:
d/Å  two_theta  intensity
5.758  15.39  38
5.184  17.10  24
3.594  24.77  42
3.185  28.01  100
3.138  28.44  47
3.034  29.44  40
1.963  46.24  24
1.871  48.66  33
1.797  50.81  22
1.340  70.25  16

Simulated powder XRD pattern
Compound: Ba5Li2W3O15
Radiation: Cu Kα, 1.54184 Å
Structure: a crystal structure in Alexandria, relaxed with GGA+U
Kinematic intensities with the Lorentz-polarization factor, no thermal factor.

Crystal structure
Lattice parameters (Å, degrees): 5.845 5.845 24.339 90.00 90.00 120.00
Fractional coordinates of all 50 atoms:
Ba 0.000 0.000 0.000
Ba 0.000 0.000 0.199
Ba 0.000 0.000 0.500
Ba 0.000 0.000 0.699
Ba 0.333 0.667 0.107
Ba 0.333 0.667 0.392
Ba 0.333 0.667 0.797
Ba 0.667 0.333 0.297
Ba 0.667 0.333 0.607
Ba 0.667 0.333 0.892
Li 0.000 0.000 0.339
Li 0.000 0.000 0.839
Li 0.333 0.667 0.669
Li 0.667 0.333 0.169
W 0.333 0.667 0.251
W 0.333 0.667 0.551
W 0.333 0.667 0.948
W 0.667 0.333 0.051
W 0.667 0.333 0.448
W 0.667 0.333 0.751
O 0.000 0.500 0.499
O 0.000 0.500 0.999
O 0.019 0.509 0.203
O 0.176 0.352 0.297
O 0.176 0.824 0.297
O 0.177 0.354 0.907
O 0.177 0.355 0.591
O 0.177 0.823 0.591
O 0.177 0.823 0.907
O 0.352 0.176 0.797
O 0.354 0.177 0.407
O 0.355 0.177 0.091
O 0.491 0.509 0.203
O 0.491 0.981 0.203
O 0.500 0.000 0.499
O 0.500 0.000 0.999
O 0.500 0.500 0.499
O 0.500 0.500 0.999
O 0.509 0.019 0.703
O 0.509 0.491 0.703
O 0.645 0.823 0.591
O 0.646 0.823 0.907
O 0.648 0.824 0.297
O 0.823 0.177 0.091
O 0.823 0.177 0.407
O 0.823 0.645 0.091
O 0.823 0.646 0.407
O 0.824 0.176 0.797
O 0.824 0.648 0.797
O 0.981 0.491 0.703

Most intense lines, 2θ from 10° to 90°, in order of rising 2θ:
d/Å  two_theta  intensity
3.166  28.19  32
2.923  30.59  100
2.866  31.21  64
2.147  42.08  21
2.046  44.26  34
1.756  52.10  18
1.687  54.37  20
1.676  54.76  28
1.505  61.63  17
1.461  63.68  19

Simulated powder XRD pattern
Compound: Ba10LiW7O30
Radiation: Cu Kα, 1.54184 Å
Structure: a crystal structure in Alexandria, relaxed with GGA+U
Kinematic intensities with the Lorentz-polarization factor, no thermal factor.

Crystal structure
Lattice parameters (Å, degrees): 5.892 5.892 25.168 89.85 89.86 60.02
Fractional coordinates of all 48 atoms:
Ba 0.000 0.000 0.000
Ba 0.001 0.001 0.793
Ba 0.331 0.331 0.186
Ba 0.334 0.334 0.891
Ba 0.336 0.336 0.621
Ba 0.660 0.660 0.397
Ba 0.666 0.666 0.099
Ba 0.669 0.669 0.710
Ba 0.993 0.993 0.502
Ba 0.996 0.996 0.291
Li 0.667 0.668 0.833
W 0.324 0.324 0.454
W 0.327 0.327 0.341
W 0.333 0.333 0.049
W 0.335 0.335 0.754
W 0.662 0.662 0.549
W 0.664 0.664 0.246
W 0.667 0.667 0.949
O 0.018 0.492 0.800
O 0.176 0.177 0.402
O 0.176 0.623 0.398
O 0.179 0.179 0.089
O 0.179 0.636 0.090
O 0.181 0.183 0.709
O 0.183 0.641 0.709
O 0.344 0.808 0.583
O 0.355 0.822 0.912
O 0.357 0.829 0.207
O 0.485 0.485 0.494
O 0.491 0.018 0.800
O 0.492 0.492 0.801
O 0.499 0.974 0.494
O 0.503 0.503 0.002
O 0.503 0.999 0.001
O 0.504 0.503 0.296
O 0.505 0.984 0.300
O 0.623 0.176 0.398
O 0.636 0.179 0.090
O 0.641 0.182 0.709
O 0.808 0.344 0.583
O 0.813 0.813 0.588
O 0.822 0.355 0.912
O 0.822 0.822 0.911
O 0.822 0.824 0.210
O 0.829 0.358 0.207
O 0.973 0.499 0.494
O 0.984 0.506 0.300
O 0.999 0.503 0.001

Most intense lines, 2θ from 10° to 90°, in order of rising 2θ:
d/Å  two_theta  intensity
5.103  17.38  14
4.360  20.37  11
3.240  27.53  15
2.944  30.36  100
2.936  30.44  16
2.081  43.48  20
1.701  53.91  26
1.698  54.01  11
1.473  63.12  12
1.113  87.63  11

Simulated powder XRD pattern
Compound: Ba2Li3Y3W8O32
Radiation: Cu Kα, 1.54184 Å
Structure: a crystal structure in Alexandria, relaxed with GGA+U
Kinematic intensities with the Lorentz-polarization factor, no thermal factor.

Crystal structure
Lattice parameters (Å, degrees): 5.121 6.840 19.935 88.25 83.93 70.95
Fractional coordinates of all 48 atoms:
Ba 0.000 0.000 0.000
Ba 0.114 0.849 0.466
Li 0.394 0.276 0.478
Li 0.710 0.564 0.991
Li 0.843 0.180 0.180
Y 0.194 0.640 0.704
Y 0.207 0.629 0.265
Y 0.911 0.207 0.764
W 0.273 0.443 0.093
W 0.286 0.424 0.876
W 0.477 0.094 0.327
W 0.535 0.040 0.635
W 0.570 0.807 0.833
W 0.638 0.762 0.134
W 0.819 0.425 0.590
W 0.829 0.396 0.380
O 0.010 0.395 0.667
O 0.030 0.507 0.527
O 0.078 0.342 0.941
O 0.092 0.453 0.800
O 0.145 0.228 0.107
O 0.146 0.219 0.418
O 0.163 0.283 0.290
O 0.262 0.034 0.835
O 0.275 0.964 0.694
O 0.311 0.671 0.903
O 0.366 0.850 0.204
O 0.366 0.867 0.342
O 0.373 0.067 0.557
O 0.412 0.739 0.067
O 0.469 0.610 0.605
O 0.507 0.449 0.162
O 0.526 0.349 0.020
O 0.537 0.591 0.779
O 0.565 0.256 0.689
O 0.582 0.494 0.454
O 0.583 0.408 0.314
O 0.636 0.238 0.863
O 0.694 0.110 0.399
O 0.715 0.998 0.117
O 0.734 0.780 0.910
O 0.761 0.998 0.262
O 0.797 0.176 0.564
O 0.829 0.883 0.773
O 0.843 0.814 0.633
O 0.938 0.627 0.366
O 0.955 0.624 0.052
O 0.959 0.605 0.179

Most intense lines, 2θ from 10° to 90°, in order of rising 2θ:
d/Å  two_theta  intensity
4.956  17.90  76
3.369  26.46  58
3.287  27.13  100
3.241  27.52  42
3.225  27.66  37
3.201  27.87  60
3.170  28.15  41
3.138  28.45  38
2.919  30.63  47
2.543  35.29  45